This entry pairs a crystal structure of HoLuAl2Fe4 with its simulated PXRD pattern. Radiation: copper Kα. Structure: a DFT-relaxed cell (GGA-PBE, OQMD).
Peak positions follow from Bragg's law for the DFT cell and can differ from measured ones.

Cell and atoms:
```
HoLuAl2Fe4
1.0
3.937 0.000 0.000
0.000 4.914 0.000
0.000 0.000 6.777
Ho Lu Al Fe
1 1 2 4
Direct
0.000 0.000 0.000 Ho
0.000 0.500 0.381 Lu
0.500 0.000 0.353 Al
0.500 0.500 0.025 Al
0.000 0.000 0.589 Fe
0.000 0.500 0.784 Fe
0.500 0.251 0.687 Fe
0.500 0.749 0.687 Fe
```

Peak list (12 most intense, 10 to 80 degrees two-theta, by angle)
- 22.3 deg, I = 55
- 22.6 deg, I = 55
- 32.0 deg, I = 100
- 32.1 deg, I = 50
- 34.9 deg, I = 42
- 36.6 deg, I = 31
- 39.6 deg, I = 99
- 39.9 deg, I = 32
- 43.4 deg, I = 68
- 45.6 deg, I = 33
- 46.1 deg, I = 41
- 62.6 deg, I = 33

=====

This entry pairs a crystal structure of Cu2Ag with its simulated PXRD pattern. Radiation: copper Kα. Structure: a DFT-relaxed cell (GGA-PBE, OQMD).
Peak positions follow from Bragg's law for the DFT cell and can differ from measured ones.

Cell and atoms:
```
Cu2Ag
1.0
4.270 -1.908 0.000
4.270 1.908 0.000
-2.496 0.000 7.684
Cu Ag
6 3
Direct
0.000 0.000 0.000 Cu
0.001 0.001 0.326 Cu
0.335 0.335 0.781 Cu
0.659 0.659 0.217 Cu
0.665 0.665 0.554 Cu
0.666 0.666 0.888 Cu
0.006 0.006 0.674 Ag
0.327 0.327 0.441 Ag
0.330 0.330 0.102 Ag
```

Peak list (12 most intense, 10 to 80 degrees two-theta, by angle)
- 21.4 deg, I = 2
- 25.8 deg, I = 4
- 26.6 deg, I = 3
- 29.7 deg, I = 3
- 40.9 deg, I = 100
- 41.0 deg, I = 99
- 47.5 deg, I = 31
- 47.7 deg, I = 32
- 47.8 deg, I = 31
- 69.4 deg, I = 9
- 69.5 deg, I = 18
- 69.8 deg, I = 28

=====

This entry pairs a crystal structure of Lu4Sc2Cd3N3 with its simulated PXRD pattern. Radiation: copper Kα. Structure: a DFT-relaxed cell (GGA-PBE, OQMD).
Peak positions follow from Bragg's law for the DFT cell and can differ from measured ones.

Cell and atoms:
```
Lu4Sc2Cd3N3
1.0
5.017 -2.895 0.000
5.017 2.895 0.000
-3.367 0.000 15.319
Lu Sc Cd N
8 4 6 6
Direct
0.031 0.195 0.087 Lu
0.136 0.304 0.413 Lu
0.195 0.031 0.587 Lu
0.304 0.136 0.913 Lu
0.696 0.864 0.087 Lu
0.805 0.969 0.413 Lu
0.864 0.696 0.587 Lu
0.969 0.805 0.913 Lu
0.358 0.526 0.077 Sc
0.474 0.642 0.423 Sc
0.526 0.358 0.577 Sc
0.642 0.474 0.923 Sc
0.110 0.890 0.250 Cd
0.279 0.416 0.750 Cd
0.416 0.279 0.250 Cd
0.584 0.721 0.750 Cd
0.721 0.584 0.250 Cd
0.890 0.110 0.750 Cd
0.000 0.500 0.000 N
0.168 0.666 0.500 N
0.334 0.832 0.000 N
0.500 0.000 0.500 N
0.666 0.168 0.000 N
0.832 0.334 0.500 N
```

Peak list (12 most intense, 10 to 80 degrees two-theta, by angle)
- 17.8 deg, I = 6
- 22.3 deg, I = 4
- 23.6 deg, I = 5
- 26.3 deg, I = 5
- 30.9 deg, I = 22
- 35.1 deg, I = 22
- 35.6 deg, I = 100
- 47.5 deg, I = 17
- 54.9 deg, I = 20
- 63.4 deg, I = 18
- 66.9 deg, I = 16
- 67.2 deg, I = 15

=====

This entry pairs a crystal structure of TbHoSnCl2 with its simulated PXRD pattern. Radiation: copper Kα. Structure: a DFT-relaxed cell (GGA-PBE, OQMD).
Peak positions follow from Bragg's law for the DFT cell and can differ from measured ones.

Cell and atoms:
```
TbHoSnCl2
1.0
4.180 0.000 0.000
-2.090 3.620 0.000
0.000 0.000 9.909
Tb Ho Sn Cl
1 1 1 2
Direct
0.000 0.000 0.000 Tb
0.667 0.333 0.364 Ho
0.333 0.667 0.184 Sn
0.000 0.000 0.513 Cl
0.667 0.333 0.849 Cl
```

Peak list (12 most intense, 10 to 80 degrees two-theta, by angle)
- 26.2 deg, I = 50
- 30.6 deg, I = 100
- 36.8 deg, I = 30
- 43.3 deg, I = 39
- 44.3 deg, I = 51
- 51.3 deg, I = 9
- 53.9 deg, I = 20
- 58.1 deg, I = 8
- 63.7 deg, I = 12
- 64.8 deg, I = 12
- 71.5 deg, I = 22
- 73.0 deg, I = 13

=====

Q: What is the formula in the third record?
A: Lu4Sc2Cd3N3

=====

Q: Which formula does entry 4 have?
A: TbHoSnCl2